[1]
Theoretical powder diffraction line list
Compound: Ca4Zn2Ag5
Radiation: Cu Kα (weighted mean of Kα1 and Kα2)
Structure: a structure optimized by DFT (GGA-PBE)
Neutral-atom scattering factors, no anomalous dispersion.

The 6 most intense peaks (10 to 90 degrees two-theta), low angle first:
Position (°2θ), I (rel.), h k l
21.0, 83, 0 1 0
32.1, 41, 1 1 -2
32.3, 100, 1 1 2
40.3, 19, 1 1 3
42.8, 54, 0 2 0
45.4, 16, 2 1 -3

Crystal structure
a b c (Å): 7.3705 4.2231 8.5357
angles (deg): 90.00 90.94 90.00
Space group P2/m (No. 10)
Unique sites:
Ca1 0.2248 0.0000 0.3716 [2 per cell]
Ca2 0.2567 0.0000 0.8881 [2 per cell]
Zn1 0.0803 0.5000 0.1308 [2 per cell]
Ag1 0.1385 0.5000 0.6278 [2 per cell]
Ag2 0.4367 0.5000 0.1602 [2 per cell]
Ag3 0.5000 0.5000 0.5000 [1 per cell]

[2]
Theoretical powder diffraction line list
Compound: InHg2SeS2
Radiation: Cu Kα (weighted mean of Kα1 and Kα2)
Structure: a structure optimized by DFT (GGA-PBE)
Neutral-atom scattering factors, no anomalous dispersion.

The 6 most intense peaks (10 to 90 degrees two-theta), low angle first:
Position (°2θ), I (rel.), h k l
23.1, 70, 3 1 0
26.0, 73, 0 0 2
26.4, 57, 0 2 1
26.6, 100, 3 1 1
40.4, 60, 3 3 0
48.7, 51, 3 3 2

Crystal structure
a b c (Å): 13.2773 7.7510 6.8465
angles (deg): 90.00 90.00 90.00
Space group Cmc2_1 (No. 36)
Unique sites:
In1 0.0000 0.1757 0.0000 [4 per cell]
Hg1 0.1734 0.3415 0.5109 [8 per cell]
Se1 0.0000 0.1620 0.3979 [4 per cell]
S1 0.1628 0.3300 0.9099 [8 per cell]

[3]
Theoretical powder diffraction line list
Compound: Zn5Hg2Pd12
Radiation: Cu Kα (weighted mean of Kα1 and Kα2)
Structure: a structure optimized by DFT (GGA-PBE)
Neutral-atom scattering factors, no anomalous dispersion.

The 6 most intense peaks (10 to 90 degrees two-theta), low angle first:
Position (°2θ), I (rel.), h k l
34.0, 30, 0 2 1
37.4, 32, 2 2 1
38.2, 32, 6 0 0
39.4, 100, 2 2 -2
43.3, 56, 2 0 -4
44.7, 56, 4 2 1

Crystal structure
a b c (Å): 14.6662 5.5784 8.3630
angles (deg): 90.00 105.50 90.00
Space group C2/m (No. 12)
Unique sites:
Zn1 0.0000 0.0000 0.0000 [2 per cell]
Zn2 0.1463 0.5000 0.3595 [4 per cell]
Zn3 0.2005 0.5000 0.8813 [4 per cell]
Hg1 0.0000 0.2484 0.5000 [4 per cell]
Pd1 0.0186 0.5000 0.8386 [4 per cell]
Pd2 0.1048 0.0000 0.8031 [4 per cell]
Pd3 0.1483 0.2524 0.1021 [8 per cell]
Pd4 0.1994 0.2483 0.6183 [8 per cell]

[4]
Theoretical powder diffraction line list
Compound: Ac6InOs
Radiation: Cu Kα (weighted mean of Kα1 and Kα2)
Structure: a structure optimized by DFT (GGA-PBE)
Neutral-atom scattering factors, no anomalous dispersion.

The 6 most intense peaks (10 to 90 degrees two-theta), low angle first:
Position (°2θ), I (rel.), h k l
20.1, 27, 0 2 1
22.3, 34, 2 0 -1
27.5, 25, 1 3 -1
27.7, 33, 2 0 1
29.9, 100, 1 3 1
33.0, 32, 3 1 -1

Crystal structure
a b c (Å): 8.4724 11.4813 7.1862
angles (deg): 90.00 103.84 90.00
Space group C2/m (No. 12)
Unique sites:
Ac1 0.1420 0.1764 0.2763 [8 per cell]
Ac2 0.2179 0.5000 0.1562 [4 per cell]
In1 0.0000 0.5000 0.5000 [2 per cell]
Os1 0.0000 0.0000 0.0000 [2 per cell]

[5]
Theoretical powder diffraction line list
Compound: CoH4Pd
Radiation: Cu Kα (weighted mean of Kα1 and Kα2)
Structure: a structure optimized by DFT (GGA-PBE)
Neutral-atom scattering factors, no anomalous dispersion.

The 6 most intense peaks (10 to 90 degrees two-theta), low angle first:
Position (°2θ), I (rel.), h k l
23.4, 97, 1 1 -1
31.6, 100, 0 2 1
40.7, 93, 1 3 0
41.2, 49, 2 0 0
41.4, 48, 2 0 -2
51.7, 45, 1 3 -2

Crystal structure
a b c (Å): 5.1360 7.7081 4.8776
angles (deg): 90.00 121.44 90.00
Space group C2/c (No. 15)
Unique sites:
Co1 0.0000 0.0168 0.2500 [4 per cell]
H1 0.1281 0.1935 0.1923 [8 per cell]
H2 0.2391 0.0490 0.6350 [8 per cell]
Pd1 0.0000 0.3517 0.7500 [4 per cell]

[6]
Theoretical powder diffraction line list
Compound: Sm2Si7Au12
Radiation: Cu Kα (weighted mean of Kα1 and Kα2)
Structure: a structure optimized by DFT (GGA-PBE)
Neutral-atom scattering factors, no anomalous dispersion.

The 6 most intense peaks (10 to 90 degrees two-theta), low angle first:
Position (°2θ), I (rel.), h k l
26.9, 26, 1 2 0
33.9, 100, 3 -1 1
41.1, 18, 0 0 2
45.1, 16, 2 3 0
47.5, 12, 4 1 0
70.2, 11, 3 -1 3

Crystal structure
a b c (Å): 10.1230 10.1230 4.3962
angles (deg): 90.00 90.00 120.00
Space group P-3 (No. 147)
Unique sites:
Sm1 0.3333 0.6667 0.2415 [2 per cell]
Si1 0.0000 0.0000 0.5000 [1 per cell]
Si2 0.1135 0.3967 0.7194 [6 per cell]
Au1 0.0713 0.6137 0.7544 [6 per cell]
Au2 0.1244 0.8593 0.2149 [6 per cell]

[7]
Theoretical powder diffraction line list
Compound: DyPaVN4
Radiation: Cu Kα (weighted mean of Kα1 and Kα2)
Structure: a structure optimized by DFT (GGA-PBE)
Neutral-atom scattering factors, no anomalous dispersion.

The 6 most intense peaks (10 to 90 degrees two-theta), low angle first:
Position (°2θ), I (rel.), h k l
23.1, 100, 1 1 0
31.9, 44, 0 2 0
32.5, 36, 1 1 -2
33.0, 24, 0 1 2
40.2, 28, 2 1 -2
41.4, 29, 1 1 2

Crystal structure
a b c (Å): 5.6095 5.6104 6.5609
angles (deg): 90.00 108.88 90.00
Space group P2_1/m (No. 11)
Unique sites:
Dy1 0.1786 0.2500 0.0340 [2 per cell]
Pa1 0.2628 0.2500 0.5633 [2 per cell]
V1 0.2745 0.7500 0.8125 [2 per cell]
N1 0.0409 0.5088 0.7387 [4 per cell]
N2 0.4602 0.7500 0.0962 [2 per cell]
N3 0.4733 0.7500 0.6392 [2 per cell]

[8]
Theoretical powder diffraction line list
Compound: La2Ta
Radiation: Cu Kα (weighted mean of Kα1 and Kα2)
Structure: a structure optimized by DFT (GGA-PBE)
Neutral-atom scattering factors, no anomalous dispersion.

The 6 most intense peaks (10 to 90 degrees two-theta), low angle first:
Position (°2θ), I (rel.), h k l
27.7, 46, 1 3 0
32.9, 100, 1 3 1
34.3, 44, 0 6 1
35.0, 39, 0 0 2
38.5, 31, 1 5 1
45.2, 25, 1 3 2

Crystal structure
a b c (Å): 3.7884 18.2536 5.1280
angles (deg): 90.00 90.00 90.00
Space group Cmcm (No. 63)
Unique sites:
La1 0.0000 0.0892 0.2500 [4 per cell]
La2 0.0000 0.1971 0.7500 [4 per cell]
Ta1 0.0000 0.4592 0.2500 [4 per cell]

Repeat the first record exactly.
Theoretical powder diffraction line list
Compound: Ca4Zn2Ag5
Radiation: Cu Kα (weighted mean of Kα1 and Kα2)
Structure: a structure optimized by DFT (GGA-PBE)
Neutral-atom scattering factors, no anomalous dispersion.

The 6 most intense peaks (10 to 90 degrees two-theta), low angle first:
Position (°2θ), I (rel.), h k l
21.0, 83, 0 1 0
32.1, 41, 1 1 -2
32.3, 100, 1 1 2
40.3, 19, 1 1 3
42.8, 54, 0 2 0
45.4, 16, 2 1 -3

Crystal structure
a b c (Å): 7.3705 4.2231 8.5357
angles (deg): 90.00 90.94 90.00
Space group P2/m (No. 10)
Unique sites:
Ca1 0.2248 0.0000 0.3716 [2 per cell]
Ca2 0.2567 0.0000 0.8881 [2 per cell]
Zn1 0.0803 0.5000 0.1308 [2 per cell]
Ag1 0.1385 0.5000 0.6278 [2 per cell]
Ag2 0.4367 0.5000 0.1602 [2 per cell]
Ag3 0.5000 0.5000 0.5000 [1 per cell]